Entry 1:
The following is a simulated X-ray diffraction stick pattern of CoRu. It was derived from a DFT-relaxed cell (PBE, Alexandria), using Cu Kα.
Peak positions follow from Bragg's law for the DFT cell and can differ from measured ones.

Structural model:
abc: 4.5351 4.5351 4.5351
angles: 132.68 132.68 69.15
Positions (direct):
Co1 0.3750 0.6250 0.7500
Co2 0.6250 0.3750 0.2500
Ru1 0.1250 0.8750 0.2500
Ru2 0.8750 0.1250 0.7500

Largest 8 diffraction maxima, by angle, 2θ from 10° to 80°:
- 2θ 27.3, I 10
- 2θ 42.7, I 100
- 2θ 44.1, I 3
- 2θ 48.8, I 17
- 2θ 50.1, I 31
- 2θ 58.0, I 3
- 2θ 72.5, I 19
- 2θ 73.6, I 9

---

Entry 2:
The following is a simulated X-ray diffraction stick pattern of Ac8La3Nd3. It was derived from a DFT-relaxed cell (PBE, Alexandria), using Cu Kα.
Peak positions follow from Bragg's law for the DFT cell and can differ from measured ones.

Structural model:
abc: 9.8061 9.8061 6.4401
angles: 101.17 101.17 89.74
Positions (direct):
Ac1 0.1119 0.6283 0.9479
Ac2 0.2191 0.4795 0.4413
Ac3 0.3717 0.8881 0.0521
Ac4 0.4795 0.2191 0.4413
Ac5 0.5205 0.7809 0.5587
Ac6 0.6283 0.1119 0.9479
Ac7 0.7809 0.5205 0.5587
Ac8 0.8881 0.3717 0.0521
La1 0.2302 0.2302 0.8515
La2 0.5000 0.5000 0.0000
La3 0.7698 0.7698 0.1485
Nd1 0.0000 0.0000 0.0000
Nd2 0.1347 0.8653 0.5000
Nd3 0.8653 0.1347 0.5000

Largest 8 diffraction maxima, by angle, 2θ from 10° to 80°:
- 2θ 20.9, I 13
- 2θ 28.2, I 16
- 2θ 28.4, I 23
- 2θ 28.8, I 39
- 2θ 29.6, I 100
- 2θ 29.7, I 26
- 2θ 47.9, I 14
- 2θ 50.0, I 15